The following is a simulated powder diffractogram of SmBiSe2O. It was derived from a crystal structure in OQMD, relaxed with GGA-PBE, using CuKα.
Kinematic intensities with the Lorentz-polarization factor, no thermal factor.

Peak list (10 most intense, 2θ = 10–90°, in order of falling intensity)
(hkl)	2theta	I/Imax
1 1 0	31.1	100
1 0 5	37.5	56
1 0 2	25.0	50
1 1 4	39.7	48
2 0 0	44.6	42
0 0 4	24.0	35
2 1 5	59.7	30
1 1 7	53.7	27
1 0 1	22.7	23
1 0 3	28.4	21

Cell and atoms:
```
data_SmBiSe2O
_chemical_formula_sum 'Sm2 Bi2 Se4 O2'
_cell_length_a 4.0641
_cell_length_b 4.0641
_cell_length_c 14.8327
_cell_angle_alpha 90.00
_cell_angle_beta 90.00
_cell_angle_gamma 90.00
_symmetry_space_group_name_H-M 'P 4/n m m'
_symmetry_Int_Tables_number 129
loop_
_symmetry_equiv_pos_as_xyz
'x,y,z'
'-x,-y,-z'
'-y+1/2,x,z'
'y+1/2,-x,-z'
'-x+1/2,-y+1/2,z'
'x+1/2,y+1/2,-z'
'y,-x+1/2,z'
'-y,x+1/2,-z'
'x+1/2,-y,-z'
'-x+1/2,y,z'
'-y,-x,-z'
'y,x,z'
'-x,y+1/2,-z'
'x,-y+1/2,z'
'y+1/2,x+1/2,-z'
'-y+1/2,-x+1/2,z'
loop_
_atom_site_label
_atom_site_fract_x
_atom_site_fract_y
_atom_site_fract_z
Sm1 0.2500 0.2500 0.0771
Bi1 0.2500 0.2500 0.6380
Se1 0.2500 0.2500 0.4024
Se2 0.2500 0.2500 0.8176
O1 0.2500 0.7500 0.0000
```